Entry 1:
Calculated XRD peak list of Pr4Cu3Pd5 for CuKα, from a cell relaxed with PBE.
Lines closer than 0.1° are merged.

Top 10 peaks for 5 to 70 degrees two-theta, by angle:
3.189 Å, 2θ = 28.0°, intensity 34.5; 2.919 Å, 2θ = 30.6°, intensity 51.7; 2.820 Å, 2θ = 31.7°, intensity 50.4; 2.740 Å, 2θ = 32.7°, intensity 52.9; 2.595 Å, 2θ = 34.6°, intensity 37.2; 2.548 Å, 2θ = 35.2°, intensity 33.4; 2.415 Å, 2θ = 37.2°, intensity 100.0; 2.351 Å, 2θ = 38.3°, intensity 84.1; 2.316 Å, 2θ = 38.9°, intensity 98.7; 2.249 Å, 2θ = 40.1°, intensity 29.7

Cell: 7.4470 7.4470 10.3175 Å, 125.04 125.04 36.24°
Element x y z (fractional)
Pr 0.0251 0.0251 0.2897
Pr 0.2600 0.2600 0.7547
Pr 0.7400 0.7400 0.2453
Pr 0.9749 0.9749 0.7103
Cu 0.2380 0.2380 0.0363
Cu 0.5000 0.5000 0.0000
Cu 0.7620 0.7620 0.9637
Pd 0.0000 0.0000 0.0000
Pd 0.3077 0.3077 0.4943
Pd 0.4174 0.4174 0.3403
Pd 0.5826 0.5826 0.6597
Pd 0.6923 0.6923 0.5057

=====

Entry 2:
Calculated XRD peak list of In2BiSb for CuKα, from a cell relaxed with PBE.
Lines closer than 0.1° are merged.

Top 10 peaks for 5 to 70 degrees two-theta, by angle:
6.734 Å, 2θ = 13.1°, intensity 2.6; 4.764 Å, 2θ = 18.6°, intensity 3.3; 3.889 Å, 2θ = 22.9°, intensity 100.0; 3.368 Å, 2θ = 26.5°, intensity 2.7; 3.013 Å, 2θ = 29.7°, intensity 2.9; 2.382 Å, 2θ = 37.8°, intensity 80.3; 2.031 Å, 2θ = 44.6°, intensity 51.6; 1.684 Å, 2θ = 54.5°, intensity 13.8; 1.545 Å, 2θ = 59.8°, intensity 21.4; 1.375 Å, 2θ = 68.2°, intensity 27.9

Cell: 4.7638 4.7638 6.7341 Å, 90.00 90.00 90.00°
Element x y z (fractional)
In 0.0000 0.5000 0.2430
In 0.5000 0.0000 0.7570
Bi 0.5000 0.5000 0.5000
Sb 0.0000 0.0000 0.0000

=====

Entry 3:
Calculated XRD peak list of ZnAgPO4 for CuKα, from a cell relaxed with PBE.
Lines closer than 0.1° are merged.

Top 10 peaks for 5 to 70 degrees two-theta, by angle:
4.304 Å, 2θ = 20.6°, intensity 31.4; 3.822 Å, 2θ = 23.3°, intensity 26.7; 3.682 Å, 2θ = 24.2°, intensity 46.9; 2.652 Å, 2θ = 33.8°, intensity 100.0; 2.604 Å, 2θ = 34.4°, intensity 31.7; 2.152 Å, 2θ = 42.0°, intensity 28.1; 1.841 Å, 2θ = 49.5°, intensity 16.2; 1.647 Å, 2θ = 55.8°, intensity 14.2; 1.541 Å, 2θ = 60.1°, intensity 20.8; 1.512 Å, 2θ = 61.3°, intensity 30.2

Cell: 5.2076 5.2076 7.6445 Å, 90.00 90.00 90.00°
Element x y z (fractional)
Zn 0.0000 0.0000 0.0000
Zn 0.5000 0.5000 0.5000
Ag 0.0000 0.0000 0.5000
Ag 0.5000 0.5000 0.0000
P 0.0000 0.5000 0.2500
P 0.5000 0.0000 0.7500
O 0.1365 0.2932 0.1358
O 0.2068 0.6365 0.3642
O 0.2932 0.8635 0.8642
O 0.3635 0.2068 0.6358
O 0.6365 0.7932 0.6358
O 0.7068 0.1365 0.8642
O 0.7932 0.3635 0.3642
O 0.8635 0.7068 0.1358

=====

Entry 4:
Calculated XRD peak list of Hg3MoSe for CuKα, from a cell relaxed with PBE.
Lines closer than 0.1° are merged.

Top 10 peaks for 5 to 70 degrees two-theta, by angle:
5.454 Å, 2θ = 16.3°, intensity 38.9; 3.149 Å, 2θ = 28.3°, intensity 100.0; 2.727 Å, 2θ = 32.8°, intensity 92.4; 2.439 Å, 2θ = 36.9°, intensity 21.5; 1.928 Å, 2θ = 47.1°, intensity 68.0; 1.818 Å, 2θ = 50.2°, intensity 11.2; 1.644 Å, 2θ = 55.9°, intensity 46.9; 1.574 Å, 2θ = 58.6°, intensity 23.7; 1.513 Å, 2θ = 61.3°, intensity 4.9; 1.363 Å, 2θ = 68.9°, intensity 11.1

Cell: 5.4536 5.4536 5.4536 Å, 90.00 90.00 90.00°
Element x y z (fractional)
Hg 0.0000 0.0000 0.5000
Hg 0.0000 0.5000 0.0000
Hg 0.5000 0.0000 0.0000
Mo 0.0000 0.0000 0.0000
Se 0.5000 0.5000 0.5000